Theoretical PXRD pattern
Compound: Ba3Nb2FeO9
Radiation: Cu Kα, 1.54184 Å
Structure: a GGA+U-relaxed structure
Kinematic intensities with the Lorentz-polarization factor, no thermal factor.

Atomic structure:
```
Ba3Nb2FeO9
1.0
5.897 0.000 0.000
-2.949 5.107 0.000
0.000 0.000 7.185
Ba Nb Fe O
3 2 1 9
Direct
0.000 0.000 0.000
0.333 0.667 0.667
0.667 0.333 0.333
0.333 0.667 0.178
0.667 0.333 0.822
0.000 0.000 0.500
0.000 0.500 0.000
0.173 0.346 0.326
0.173 0.827 0.326
0.346 0.173 0.674
0.500 0.000 0.000
0.500 0.500 0.000
0.654 0.827 0.326
0.827 0.173 0.674
0.827 0.654 0.674
```

Principal peaks in the range 2θ = 15–90°, low angle first:
2.949 Å, intensity 100, hkl 1 1 0; 2.938 Å, intensity 99, hkl 0 1 2; 2.081 Å, intensity 63, hkl 2 0 2; 1.701 Å, intensity 59, hkl 3 0 0; 1.694 Å, intensity 19, hkl 1 0 4; 1.474 Å, intensity 20, hkl 2 2 0; 1.469 Å, intensity 19, hkl 0 2 4; 1.318 Å, intensity 17, hkl 3 1 2; 1.315 Å, intensity 17, hkl 2 1 4; 1.114 Å, intensity 21, hkl 4 1 0